Entry 1:
Structure and calculated powder XRD pattern of Th2Si3Ni (a DFT-relaxed cell (PBE, the Materials Project); a wavelength of 1.5418 Å).
Peak positions follow from Bragg's law for the DFT cell and can differ from measured ones.

Structural model:
```
data_Th2Si3Ni
_chemical_formula_sum 'Th2 Si3 Ni1'
_space_group_name_H-M_alt 'P -6 m 2'
_space_group_IT_number 187
_space_group_name_Hall 'P -6 2'
_cell_length_a 4.0947
_cell_length_b 4.0947
_cell_length_c 8.1620
_cell_angle_alpha 90.00
_cell_angle_beta 90.00
_cell_angle_gamma 120.00
loop_
_atom_site_label
_atom_site_fract_x
_atom_site_fract_y
_atom_site_fract_z
Th1 0.0000 0.0000 0.2446
Si1 0.3333 0.6667 0.5000
Si2 0.6667 0.3333 0.0000
Si3 0.6667 0.3333 0.5000
Ni1 0.3333 0.6667 0.0000
```

Main lines, in order of rising 2θ (5 to 70 degrees two-theta):
- 21.8°, I = 14, (0 0 2)
- 25.1°, I = 51, (1 0 0)
- 33.5°, I = 100, (1 0 2)
- 44.2°, I = 30, (1 1 0)
- 44.4°, I = 10, (0 0 4)
- 49.8°, I = 11, (1 1 2)
- 51.5°, I = 8, (2 0 0)
- 51.7°, I = 15, (1 0 4)
- 56.6°, I = 23, (2 0 2)
- 64.5°, I = 20, (1 1 4)


Entry 2:
Structure and calculated powder XRD pattern of Li2CoCl4 (a DFT-relaxed cell (PBE, the Materials Project); a wavelength of 1.5418 Å).
Peak positions follow from Bragg's law for the DFT cell and can differ from measured ones.

Structural model:
```
data_Li2CoCl4
_chemical_formula_sum 'Li4 Co2 Cl8'
_space_group_name_H-M_alt 'C m m m'
_space_group_IT_number 65
_space_group_name_Hall '-C 2 2'
_cell_length_a 7.290
_cell_length_b 10.293
_cell_length_c 3.627
_cell_angle_alpha 90.00
_cell_angle_beta 90.00
_cell_angle_gamma 90.00
loop_
_atom_site_label
_atom_site_fract_x
_atom_site_fract_y
_atom_site_fract_z
Li1 0.250 0.250 0.000
Co1 0.000 0.000 0.500
Cl1 0.000 0.237 0.500
Cl2 0.228 0.000 0.000
```

Main lines, in order of rising 2θ (5 to 70 degrees two-theta):
- 14.9°, I = 78, (1 1 0)
- 17.2°, I = 12, (0 2 0)
- 28.8°, I = 24, (1 1 1)
- 30.1°, I = 22, (0 2 1)
- 34.9°, I = 100, (2 0 1)
- 45.8°, I = 19, (1 5 0)
- 50.2°, I = 41, (2 4 1)
- 50.3°, I = 11, (0 0 2)
- 52.6°, I = 10, (1 5 1)
- 62.7°, I = 10, (0 4 2)


Entry 3:
Structure and calculated powder XRD pattern of La2ThSe5 (a DFT-relaxed cell (PBE, the Materials Project); a wavelength of 1.5418 Å).
Peak positions follow from Bragg's law for the DFT cell and can differ from measured ones.

Structural model:
```
data_La2ThSe5
_chemical_formula_sum 'La8 Th4 Se20'
_space_group_name_H-M_alt 'P n m a'
_space_group_IT_number 62
_space_group_name_Hall '-P 2ac 2n'
_cell_length_a 12.610
_cell_length_b 8.740
_cell_length_c 8.001
_cell_angle_alpha 90.00
_cell_angle_beta 90.00
_cell_angle_gamma 90.00
loop_
_atom_site_label
_atom_site_fract_x
_atom_site_fract_y
_atom_site_fract_z
La1 0.178 0.001 0.027
Th1 0.010 0.750 0.575
Se1 0.001 0.750 0.958
Se2 0.094 0.044 0.669
Se3 0.188 0.750 0.333
Se4 0.217 0.250 0.307
```

Main lines, in order of rising 2θ (5 to 70 degrees two-theta):
- 23.9°, I = 52, (3 0 1)
- 24.3°, I = 42, (1 2 1)
- 24.8°, I = 40, (2 2 0)
- 30.5°, I = 25, (4 0 1)
- 31.1°, I = 35, (1 2 2)
- 33.5°, I = 100, (2 2 2)
- 35.1°, I = 64, (4 2 0)
- 38.1°, I = 31, (2 1 3)
- 41.3°, I = 42, (0 4 0)
- 42.9°, I = 46, (5 2 1)


Entry 4:
Structure and calculated powder XRD pattern of AgO2 (a DFT-relaxed cell (PBE, the Materials Project); a wavelength of 1.5418 Å).
Peak positions follow from Bragg's law for the DFT cell and can differ from measured ones.

Structural model:
```
data_AgO2
_chemical_formula_sum 'Ag8 O16'
_space_group_name_H-M_alt 'I 41/a c d'
_space_group_IT_number 142
_cell_length_a 5.346
_cell_length_b 5.346
_cell_length_c 12.057
_cell_angle_alpha 90.00
_cell_angle_beta 90.00
_cell_angle_gamma 90.00
loop_
_space_group_symop_operation_xyz
'x,y,z'
'-x,-y,-z'
'-y+1/4,x+3/4,z+1/4'
'y+1/4,-x+3/4,-z+1/4'
'-x+1/2,-y,z+1/2'
'x+1/2,y,-z+1/2'
'y+1/4,-x+1/4,z+3/4'
'-y+1/4,x+1/4,-z+3/4'
'x,-y,-z+1/2'
'-x,y,z+1/2'
'-y+1/4,-x+1/4,-z+1/4'
'y+1/4,x+1/4,z+1/4'
'-x+1/2,y,-z'
'x+1/2,-y,z'
'y+1/4,x+3/4,-z+3/4'
'-y+1/4,-x+3/4,z+3/4'
'x+1/2,y+1/2,z+1/2'
'-x+1/2,-y+1/2,-z+1/2'
'-y+3/4,x+1/4,z+3/4'
'y+3/4,-x+1/4,-z+3/4'
'-x,-y+1/2,z'
'x,y+1/2,-z'
'y+3/4,-x+3/4,z+1/4'
'-y+3/4,x+3/4,-z+1/4'
'x+1/2,-y+1/2,-z'
'-x+1/2,y+1/2,z'
'-y+3/4,-x+3/4,-z+3/4'
'y+3/4,x+3/4,z+3/4'
'-x,y+1/2,-z+1/2'
'x,-y+1/2,z+1/2'
'y+3/4,x+1/4,-z+1/4'
'-y+3/4,-x+1/4,z+1/4'
loop_
_atom_site_label
_atom_site_fract_x
_atom_site_fract_y
_atom_site_fract_z
Ag1 0.000 0.250 0.375
O1 0.092 0.158 0.125
```

Main lines, in order of rising 2θ (5 to 70 degrees two-theta):
- 27.9°, I = 100, (1 1 2)
- 29.6°, I = 60, (0 0 4)
- 33.5°, I = 63, (2 0 0)
- 38.4°, I = 1, (2 1 1)
- 45.3°, I = 52, (2 0 4)
- 48.1°, I = 19, (2 2 0)
- 51.5°, I = 19, (1 1 6)
- 56.5°, I = 45, (3 1 2)
- 57.6°, I = 21, (2 2 4)
- 61.5°, I = 6, (0 0 8)


Entry 5:
Structure and calculated powder XRD pattern of RhN5Cl3 (a DFT-relaxed cell (PBE, the Materials Project); a wavelength of 1.5418 Å).
Peak positions follow from Bragg's law for the DFT cell and can differ from measured ones.

Structural model:
```
data_RhN5Cl3
_chemical_formula_sum 'Rh4 N20 Cl12'
_space_group_name_H-M_alt 'P n m a'
_space_group_IT_number 62
_space_group_name_Hall '-P 2ac 2n'
_cell_length_a 16.924
_cell_length_b 5.884
_cell_length_c 7.887
_cell_angle_alpha 90.00
_cell_angle_beta 90.00
_cell_angle_gamma 90.00
loop_
_atom_site_label
_atom_site_fract_x
_atom_site_fract_y
_atom_site_fract_z
Rh1 0.146 0.250 0.210
N1 0.067 0.750 0.646
N2 0.075 0.517 0.201
N3 0.196 0.250 0.400
N4 0.208 0.250 0.037
Cl1 0.086 0.750 0.101
Cl2 0.123 0.514 0.648
```

Main lines, in order of rising 2θ (5 to 70 degrees two-theta):
- 15.4°, I = 73, (2 0 1)
- 18.4°, I = 32, (2 1 0)
- 18.8°, I = 84, (0 1 1)
- 21.0°, I = 100, (4 0 0)
- 23.2°, I = 59, (1 0 2)
- 25.9°, I = 56, (4 1 0)
- 27.6°, I = 55, (3 0 2)
- 28.3°, I = 32, (4 1 1)
- 29.2°, I = 34, (2 1 2)
- 34.2°, I = 73, (2 2 1)


Entry 6:
Structure and calculated powder XRD pattern of LaCeB12 (a DFT-relaxed cell (PBE, the Materials Project); a wavelength of 1.5418 Å).
Peak positions follow from Bragg's law for the DFT cell and can differ from measured ones.

Structural model:
```
data_LaCeB12
_chemical_formula_sum 'La4 Ce4 B48'
_space_group_name_H-M_alt 'F m -3 m'
_space_group_IT_number 225
_space_group_name_Hall '-F 4 2 3'
_cell_length_a 8.279
_cell_length_b 8.279
_cell_length_c 8.279
_cell_angle_alpha 90.00
_cell_angle_beta 90.00
_cell_angle_gamma 90.00
loop_
_atom_site_label
_atom_site_fract_x
_atom_site_fract_y
_atom_site_fract_z
La1 0.000 0.000 0.000
Ce1 0.000 0.000 0.500
B1 0.100 0.250 0.250
```

Main lines, in order of rising 2θ (5 to 70 degrees two-theta):
- 21.5°, I = 64, (2 0 0)
- 30.5°, I = 100, (2 2 0)
- 37.6°, I = 42, (2 2 2)
- 43.7°, I = 22, (4 0 0)
- 49.2°, I = 49, (4 2 0)
- 54.3°, I = 27, (4 2 2)
- 63.6°, I = 10, (4 4 0)
- 67.9°, I = 28, (4 4 2)